Entry 1:
Calculated powder X-ray diffraction pattern
Compound: Rb3YCl6
Radiation: Cu Kα
Structure: a GGA-PBE-relaxed structure
Lines closer than 0.1° are merged.

Cell and atoms:
Unit cell a=8.1422 b=8.1422 c=8.1422 alpha=60.00 beta=60.00 gamma=60.00
Sites, in units of the cell vectors:
1 Rb 0.0000 0.0000 0.0000
2 Rb 0.2500 0.2500 0.2500
3 Rb 0.7500 0.7500 0.7500
4 Y 0.5000 0.5000 0.5000
5 Cl 0.2708 0.2708 0.7292
6 Cl 0.2708 0.7292 0.2708
7 Cl 0.2708 0.7292 0.7292
8 Cl 0.7292 0.2708 0.2708
9 Cl 0.7292 0.2708 0.7292
10 Cl 0.7292 0.7292 0.2708

Principal peaks in the range 2θ from 15° to 90°, by angle:
| 2θ/deg | d_spacing | I (rel.) |
| --- | --- | --- |
| 21.83 | 4.071 | 100 |
| 26.82 | 3.324 | 23 |
| 31.07 | 2.879 | 81 |
| 38.29 | 2.350 | 44 |
| 44.51 | 2.036 | 54 |
| 50.10 | 1.821 | 25 |
| 55.27 | 1.662 | 18 |
| 60.13 | 1.539 | 27 |
| 69.23 | 1.357 | 12 |
| 73.57 | 1.287 | 21 |
| 81.99 | 1.175 | 15 |
| 86.12 | 1.129 | 15 |


Entry 2:
Calculated powder X-ray diffraction pattern
Compound: Zn2OsN3
Radiation: Cu Kα
Structure: a GGA-PBE-relaxed structure
Lines closer than 0.1° are merged.

Cell and atoms:
Unit cell a=5.7238 b=5.7238 c=5.3816 alpha=90.00 beta=90.00 gamma=58.77
Sites, in units of the cell vectors:
1 Zn 0.0173 0.3208 0.0000
2 Zn 0.3208 0.0173 0.5000
3 Zn 0.6792 0.9827 0.0000
4 Zn 0.9827 0.6792 0.5000
5 Os 0.3462 0.6538 0.9809
6 Os 0.6538 0.3462 0.4809
7 N 0.0313 0.6502 0.8770
8 N 0.3361 0.6639 0.3433
9 N 0.3498 0.9687 0.8770
10 N 0.6502 0.0313 0.3770
11 N 0.6639 0.3361 0.8433
12 N 0.9687 0.3498 0.3770

Principal peaks in the range 2θ from 15° to 90°, by angle:
| 2θ/deg | d_spacing | I (rel.) |
| --- | --- | --- |
| 17.78 | 4.987 | 29 |
| 18.13 | 4.894 | 20 |
| 24.59 | 3.621 | 43 |
| 31.26 | 2.861 | 50 |
| 33.30 | 2.691 | 54 |
| 35.53 | 2.526 | 100 |
| 36.07 | 2.490 | 72 |
| 46.32 | 1.960 | 28 |
| 56.40 | 1.631 | 26 |
| 60.96 | 1.520 | 32 |
| 67.09 | 1.395 | 26 |
| 67.78 | 1.383 | 22 |


Entry 3:
Calculated powder X-ray diffraction pattern
Compound: Cs2CoCl4
Radiation: Cu Kα
Structure: a GGA-PBE-relaxed structure
Lines closer than 0.1° are merged.

Cell and atoms:
Unit cell a=9.9357 b=7.4686 c=13.1821 alpha=90.00 beta=90.00 gamma=90.00
Sites, in units of the cell vectors:
1 Cs 0.0207 0.2500 0.1751
2 Cs 0.1410 0.7500 0.4017
3 Cs 0.3590 0.2500 0.9017
4 Cs 0.4793 0.7500 0.6751
5 Cs 0.5207 0.2500 0.3249
6 Cs 0.6410 0.7500 0.0983
7 Cs 0.8590 0.2500 0.5983
8 Cs 0.9793 0.7500 0.8249
9 Co 0.2335 0.7500 0.0781
10 Co 0.2665 0.2500 0.5781
11 Co 0.7335 0.7500 0.4219
12 Co 0.7665 0.2500 0.9219
13 Cl 0.0081 0.7500 0.0969
14 Cl 0.1782 0.0065 0.6516
15 Cl 0.1782 0.4935 0.6516
16 Cl 0.1913 0.2500 0.4168
17 Cl 0.3087 0.7500 0.9168
18 Cl 0.3218 0.5065 0.1516
19 Cl 0.3218 0.9935 0.1516
20 Cl 0.4919 0.2500 0.5969
21 Cl 0.5081 0.7500 0.4031
22 Cl 0.6782 0.0065 0.8484
23 Cl 0.6782 0.4935 0.8484
24 Cl 0.6913 0.2500 0.0832
25 Cl 0.8087 0.7500 0.5832
26 Cl 0.8218 0.5065 0.3484
27 Cl 0.8218 0.9935 0.3484
28 Cl 0.9919 0.2500 0.9031

Principal peaks in the range 2θ from 15° to 90°, by angle:
| 2θ/deg | d_spacing | I (rel.) |
| --- | --- | --- |
| 20.07 | 4.425 | 97 |
| 22.53 | 3.947 | 65 |
| 23.49 | 3.787 | 86 |
| 23.83 | 3.734 | 100 |
| 27.07 | 3.294 | 79 |
| 27.77 | 3.212 | 70 |
| 30.28 | 2.952 | 42 |
| 30.71 | 2.911 | 58 |
| 32.74 | 2.736 | 34 |
| 33.89 | 2.645 | 40 |
| 36.38 | 2.470 | 53 |
| 54.10 | 1.695 | 34 |


Entry 4:
Calculated powder X-ray diffraction pattern
Compound: Ho2Se3O9
Radiation: Cu Kα
Structure: a GGA-PBE-relaxed structure
Lines closer than 0.1° are merged.

Cell and atoms:
Unit cell a=8.5338 b=8.5338 c=8.1891 alpha=90.00 beta=90.00 gamma=120.00
Sites, in units of the cell vectors:
1 Ho 0.3333 0.6667 0.0393
2 Ho 0.3333 0.6667 0.4607
3 Ho 0.6667 0.3333 0.5393
4 Ho 0.6667 0.3333 0.9607
5 Se 0.0292 0.7326 0.7500
6 Se 0.2674 0.2966 0.7500
7 Se 0.2966 0.0292 0.2500
8 Se 0.7034 0.9708 0.7500
9 Se 0.7326 0.7034 0.2500
10 Se 0.9708 0.2674 0.2500
11 O 0.1296 0.5005 0.2500
12 O 0.1617 0.7503 0.5866
13 O 0.1617 0.7503 0.9134
14 O 0.2497 0.4114 0.5866
15 O 0.2497 0.4114 0.9134
16 O 0.3709 0.8704 0.2500
17 O 0.4114 0.1617 0.0866
18 O 0.4114 0.1617 0.4134
19 O 0.5005 0.3709 0.7500
20 O 0.4995 0.6291 0.2500
21 O 0.5886 0.8383 0.5866
22 O 0.5886 0.8383 0.9134
23 O 0.6291 0.1296 0.7500
24 O 0.7503 0.5886 0.0866
25 O 0.7503 0.5886 0.4134
26 O 0.8383 0.2497 0.0866
27 O 0.8383 0.2497 0.4134
28 O 0.8704 0.4995 0.7500

Principal peaks in the range 2θ from 15° to 90°, by angle:
| 2θ/deg | d_spacing | I (rel.) |
| --- | --- | --- |
| 20.82 | 4.267 | 35 |
| 23.51 | 3.784 | 63 |
| 24.08 | 3.695 | 39 |
| 24.86 | 3.582 | 36 |
| 26.46 | 3.368 | 24 |
| 30.25 | 2.954 | 100 |
| 32.04 | 2.793 | 15 |
| 36.47 | 2.463 | 40 |
| 46.52 | 1.952 | 27 |
| 48.09 | 1.892 | 28 |
| 49.74 | 1.833 | 25 |
| 61.83 | 1.501 | 18 |


Entry 5:
Calculated powder X-ray diffraction pattern
Compound: Li2VN2
Radiation: Cu Kα
Structure: a GGA-PBE-relaxed structure
Lines closer than 0.1° are merged.

Cell and atoms:
Unit cell a=3.0060 b=3.0060 c=5.5112 alpha=90.00 beta=90.00 gamma=120.00
Sites, in units of the cell vectors:
1 Li 0.3333 0.6667 0.1387
2 Li 0.6667 0.3333 0.8613
3 V 0.0000 0.0000 0.5000
4 N 0.3333 0.6667 0.7075
5 N 0.6667 0.3333 0.2925

Principal peaks in the range 2θ from 15° to 90°, by angle:
| 2θ/deg | d_spacing | I (rel.) |
| --- | --- | --- |
| 16.08 | 5.511 | 100 |
| 32.49 | 2.756 | 4 |
| 34.45 | 2.603 | 16 |
| 38.24 | 2.354 | 64 |
| 48.08 | 1.892 | 48 |
| 49.62 | 1.837 | 3 |
| 61.76 | 1.502 | 33 |
| 64.24 | 1.450 | 10 |
| 74.97 | 1.267 | 7 |
| 78.55 | 1.218 | 7 |
| 81.84 | 1.177 | 8 |
| 83.01 | 1.163 | 4 |


Entry 6:
Calculated powder X-ray diffraction pattern
Compound: GaSiCN
Radiation: Cu Kα
Structure: a GGA-PBE-relaxed structure
Lines closer than 0.1° are merged.

Cell and atoms:
Unit cell a=3.1487 b=5.6028 c=5.0898 alpha=90.00 beta=90.00 gamma=90.00
Sites, in units of the cell vectors:
1 Ga 0.0000 0.0659 0.0000
2 Ga 0.5000 0.9341 0.5000
3 Si 0.0000 0.4082 0.4801
4 Si 0.5000 0.5918 0.9801
5 C 0.0000 0.1059 0.3804
6 C 0.5000 0.8941 0.8804
7 N 0.0000 0.4446 0.8457
8 N 0.5000 0.5554 0.3457

Principal peaks in the range 2θ from 15° to 90°, by angle:
| 2θ/deg | d_spacing | I (rel.) |
| --- | --- | --- |
| 15.82 | 5.603 | 44 |
| 31.95 | 2.801 | 34 |
| 32.62 | 2.745 | 37 |
| 33.46 | 2.678 | 22 |
| 35.27 | 2.545 | 48 |
| 36.62 | 2.454 | 39 |
| 37.22 | 2.416 | 100 |
| 38.87 | 2.317 | 18 |
| 48.80 | 1.866 | 16 |
| 57.36 | 1.606 | 29 |
| 64.58 | 1.443 | 32 |
| 69.16 | 1.358 | 23 |


Entry 7:
Calculated powder X-ray diffraction pattern
Compound: SiSnN2
Radiation: Cu Kα
Structure: a GGA-PBE-relaxed structure
Lines closer than 0.1° are merged.

Cell and atoms:
Unit cell a=5.2952 b=5.2952 c=5.2952 alpha=117.12 beta=89.17 gamma=123.96
Sites, in units of the cell vectors:
1 Si 0.1298 0.2500 0.3798
2 Si 0.8702 0.7500 0.6202
3 Sn 0.3293 0.6990 0.1303
4 Sn 0.5687 0.1990 0.8697
5 N 0.1222 0.1222 0.0000
6 N 0.1222 0.6222 0.5000
7 N 0.4951 0.4047 0.5904
8 N 0.8143 0.9047 0.4096

Principal peaks in the range 2θ from 15° to 90°, by angle:
| 2θ/deg | d_spacing | I (rel.) |
| --- | --- | --- |
| 19.92 | 4.457 | 20 |
| 21.40 | 4.153 | 32 |
| 32.41 | 2.762 | 30 |
| 33.96 | 2.640 | 100 |
| 36.11 | 2.488 | 17 |
| 39.17 | 2.300 | 20 |
| 41.58 | 2.172 | 17 |
| 49.30 | 1.848 | 17 |
| 58.81 | 1.570 | 21 |
| 59.34 | 1.557 | 13 |
| 63.56 | 1.464 | 17 |
| 71.47 | 1.320 | 11 |


Entry 8:
Calculated powder X-ray diffraction pattern
Compound: CaBi2P2O9
Radiation: Cu Kα
Structure: a GGA-PBE-relaxed structure
Lines closer than 0.1° are merged.

Cell and atoms:
Unit cell a=16.0280 b=7.1448 c=7.2452 alpha=90.00 beta=90.00 gamma=90.00
Sites, in units of the cell vectors:
1 Ca 0.2229 0.2500 0.0897
2 Ca 0.2771 0.7500 0.5897
3 Ca 0.7229 0.2500 0.4103
4 Ca 0.7771 0.7500 0.9103
5 Bi 0.0000 0.0000 0.0000
6 Bi 0.0000 0.5000 0.0000
7 Bi 0.1182 0.2500 0.6029
8 Bi 0.3818 0.7500 0.1029
9 Bi 0.5000 0.0000 0.5000
10 Bi 0.5000 0.5000 0.5000
11 Bi 0.6182 0.2500 0.8971
12 Bi 0.8818 0.7500 0.3971
13 P 0.0830 0.7500 0.6046
14 P 0.1921 0.7500 0.0995
15 P 0.3079 0.2500 0.5995
16 P 0.4170 0.2500 0.1046
17 P 0.5830 0.7500 0.8954
18 P 0.6921 0.7500 0.4005
19 P 0.8079 0.2500 0.9005
20 P 0.9170 0.2500 0.3954
21 O 0.0220 0.7500 0.7784
22 O 0.0292 0.7500 0.4310
23 O 0.0796 0.2500 0.8912
24 O 0.1392 0.5668 0.1090
25 O 0.1392 0.9332 0.1090
26 O 0.1422 0.5782 0.6162
27 O 0.1422 0.9218 0.6162
28 O 0.2454 0.2500 0.7671
29 O 0.2481 0.7500 0.9240
30 O 0.2519 0.2500 0.4240
31 O 0.2546 0.7500 0.2671
32 O 0.3578 0.0782 0.1162
33 O 0.3578 0.4218 0.1162
34 O 0.3608 0.0668 0.6090
35 O 0.3608 0.4332 0.6090
36 O 0.4204 0.7500 0.3912
37 O 0.4708 0.2500 0.9310
38 O 0.4780 0.2500 0.2784
39 O 0.5220 0.7500 0.7216
40 O 0.5292 0.7500 0.0690
41 O 0.5796 0.2500 0.6088
42 O 0.6392 0.5668 0.3910
43 O 0.6392 0.9332 0.3910
44 O 0.6422 0.5782 0.8838
45 O 0.6422 0.9218 0.8838
46 O 0.7454 0.2500 0.7329
47 O 0.7481 0.7500 0.5760
48 O 0.7519 0.2500 0.0760
49 O 0.7546 0.7500 0.2329
50 O 0.8578 0.0782 0.3838
51 O 0.8578 0.4218 0.3838
52 O 0.8608 0.0668 0.8910
53 O 0.8608 0.4332 0.8910
54 O 0.9204 0.7500 0.1088
55 O 0.9708 0.2500 0.5690
56 O 0.9780 0.2500 0.2216

Principal peaks in the range 2θ from 15° to 90°, by angle:
| 2θ/deg | d_spacing | I (rel.) |
| --- | --- | --- |
| 16.49 | 5.374 | 25 |
| 16.62 | 5.333 | 26 |
| 20.66 | 4.300 | 52 |
| 24.57 | 3.623 | 25 |
| 25.20 | 3.533 | 30 |
| 27.33 | 3.263 | 21 |
| 28.40 | 3.143 | 100 |
| 30.49 | 2.931 | 51 |
| 33.60 | 2.667 | 24 |
| 42.07 | 2.148 | 23 |
| 48.89 | 1.863 | 21 |
| 55.70 | 1.650 | 20 |